Calculated powder diffraction line list
Compound: ReHg4Pt
Radiation: Cu Ka
Structure: the PBE geometry in Alexandria

Largest 6 diffraction maxima, by intensity, 5° ≤ 2θ ≤ 70°:
d (Å)	2θ (°)	I (rel.)
2.394	37.57	100
2.292	39.31	43
1.528	60.60	34
1.404	66.63	30
2.807	31.88	24
1.621	56.81	10

Crystal structure
```
ReHg4Pt
1.0
0.000 3.970 3.970
3.970 0.000 3.970
3.970 3.970 0.000
Re Hg Pt
1 4 1
Direct
0.000 0.000 0.000
0.125 0.625 0.625
0.625 0.125 0.625
0.625 0.625 0.125
0.625 0.625 0.625
0.250 0.250 0.250
```

Calculated powder diffraction line list
Compound: UHgPtRh
Radiation: Cu Ka
Structure: the PBE geometry in Alexandria

Largest 6 diffraction maxima, by intensity, 5° ≤ 2θ ≤ 70°:
d (Å)	2θ (°)	I (rel.)
2.387	37.68	100
1.378	68.03	36
1.688	54.35	18
3.376	26.40	4
3.898	22.81	3
2.036	44.51	2

Crystal structure
```
UHgPtRh
1.0
6.752 0.000 0.000
0.000 6.752 0.000
0.000 0.000 6.752
U Hg Pt Rh
4 4 4 4
Direct
0.000 0.000 0.000
0.000 0.500 0.500
0.500 0.000 0.500
0.500 0.500 0.000
0.000 0.000 0.500
0.000 0.500 0.000
0.500 0.000 0.000
0.500 0.500 0.500
0.250 0.250 0.250
0.250 0.750 0.750
0.750 0.250 0.750
0.750 0.750 0.250
0.250 0.250 0.750
0.250 0.750 0.250
0.750 0.250 0.250
0.750 0.750 0.750
```

Calculated powder diffraction line list
Compound: HgPtS2
Radiation: Cu Ka
Structure: the PBE geometry in Alexandria

Largest 6 diffraction maxima, by intensity, 5° ≤ 2θ ≤ 70°:
d (Å)	2θ (°)	I (rel.)
4.356	20.39	100
2.914	30.68	81
2.117	42.71	42
3.138	28.44	36
2.796	32.01	34
2.729	32.81	31

Crystal structure
```
HgPtS2
1.0
6.380 0.000 0.000
0.000 3.535 0.000
0.000 0.000 17.424
Hg Pt S
4 4 8
Direct
0.107 0.250 0.125
0.393 0.750 0.625
0.607 0.250 0.375
0.893 0.750 0.875
0.109 0.750 0.378
0.391 0.250 0.878
0.609 0.750 0.122
0.891 0.250 0.622
0.054 0.750 0.687
0.226 0.750 0.942
0.274 0.250 0.442
0.446 0.250 0.187
0.554 0.750 0.813
0.726 0.750 0.558
0.774 0.250 0.058
0.946 0.250 0.313
```

Calculated powder diffraction line list
Compound: Sc2Hg2Pt
Radiation: Cu Ka
Structure: the PBE geometry in Alexandria

Largest 6 diffraction maxima, by intensity, 5° ≤ 2θ ≤ 70°:
d (Å)	2θ (°)	I (rel.)
2.539	35.36	100
3.256	27.39	95
2.314	38.92	68
2.302	39.12	61
2.002	45.30	58
3.291	27.10	35

Crystal structure
```
Sc2Hg2Pt
1.0
3.338 0.000 0.000
0.000 19.544 0.000
0.000 0.000 3.255
Sc Hg Pt
4 4 2
Direct
0.000 0.084 0.000
0.000 0.916 0.000
0.500 0.416 0.000
0.500 0.584 0.000
0.000 0.313 0.500
0.000 0.687 0.500
0.500 0.187 0.500
0.500 0.813 0.500
0.000 0.500 0.500
0.500 0.000 0.500
```

Calculated powder diffraction line list
Compound: ScHgPt
Radiation: Cu Ka
Structure: the PBE geometry in Alexandria

Largest 6 diffraction maxima, by intensity, 5° ≤ 2θ ≤ 70°:
d (Å)	2θ (°)	I (rel.)
2.578	34.80	100
2.381	37.78	84
2.027	44.71	58
3.686	24.15	49
3.339	26.70	48
2.097	43.15	44

Crystal structure
```
ScHgPt
1.0
3.401 0.000 0.000
0.000 17.648 0.000
0.000 0.000 4.057
Sc Hg Pt
4 4 4
Direct
0.000 0.094 0.250
0.000 0.906 0.750
0.500 0.406 0.750
0.500 0.594 0.250
0.000 0.292 0.250
0.000 0.708 0.750
0.500 0.208 0.750
0.500 0.792 0.250
0.000 0.448 0.250
0.000 0.552 0.750
0.500 0.052 0.750
0.500 0.948 0.250
```

Calculated powder diffraction line list
Compound: HgPt2Se
Radiation: Cu Ka
Structure: the PBE geometry in Alexandria

Largest 6 diffraction maxima, by intensity, 5° ≤ 2θ ≤ 70°:
d (Å)	2θ (°)	I (rel.)
2.323	38.76	100
2.477	36.26	74
1.399	66.89	41
1.752	52.22	26
6.208	14.27	15
3.051	29.27	11

Crystal structure
```
HgPt2Se
1.0
3.503 0.000 0.000
0.000 3.503 0.000
0.000 0.000 6.208
Hg Pt Se
1 2 1
Direct
0.000 0.000 0.000
0.000 0.000 0.496
0.500 0.500 0.236
0.500 0.500 0.629
```

Calculated powder diffraction line list
Compound: Sm7Hg2Pt2
Radiation: Cu Ka
Structure: the PBE geometry in Alexandria

Largest 6 diffraction maxima, by intensity, 5° ≤ 2θ ≤ 70°:
d (Å)	2θ (°)	I (rel.)
2.451	36.66	100
2.800	31.96	56
3.589	24.81	49
2.482	36.19	45
4.434	20.02	40
3.186	28.01	32

Crystal structure
```
Sm7Hg2Pt2
1.0
4.129 -5.601 0.000
4.129 5.601 0.000
0.000 0.000 7.259
Sm Hg Pt
7 2 2
Direct
0.000 0.000 0.000
0.000 0.500 0.256
0.000 0.500 0.744
0.500 0.000 0.256
0.500 0.000 0.744
0.500 0.500 0.250
0.500 0.500 0.750
0.179 0.179 0.500
0.821 0.821 0.500
0.289 0.711 0.000
0.711 0.289 0.000
```

Calculated powder diffraction line list
Compound: Sm6Hg3Pt
Radiation: Cu Ka
Structure: the PBE geometry in Alexandria

Largest 6 diffraction maxima, by intensity, 5° ≤ 2θ ≤ 70°:
d (Å)	2θ (°)	I (rel.)
2.894	30.90	100
2.569	34.93	66
2.724	32.88	64
5.846	15.16	37
2.641	33.95	33
2.297	39.21	27

Crystal structure
```
Sm6Hg3Pt
1.0
6.158 3.555 4.660
-6.158 3.555 4.660
0.000 -7.111 4.660
Sm Hg Pt
12 6 2
Direct
0.040 0.917 0.682
0.083 0.318 0.960
0.182 0.417 0.540
0.318 0.960 0.083
0.417 0.540 0.182
0.460 0.818 0.583
0.540 0.182 0.417
0.583 0.460 0.818
0.682 0.040 0.917
0.818 0.583 0.460
0.917 0.682 0.040
0.960 0.083 0.318
0.147 0.750 0.353
0.250 0.647 0.853
0.353 0.147 0.750
0.647 0.853 0.250
0.750 0.353 0.147
0.853 0.250 0.647
0.000 0.000 0.000
0.500 0.500 0.500
```

Calculated powder diffraction line list
Compound: Sm5Hg2Pt
Radiation: Cu Ka
Structure: the PBE geometry in Alexandria

Largest 6 diffraction maxima, by intensity, 5° ≤ 2θ ≤ 70°:
d (Å)	2θ (°)	I (rel.)
2.848	31.41	100
2.499	35.94	68
2.661	33.68	65
2.652	33.81	51
2.934	30.47	39
2.882	31.03	36

Crystal structure
```
Sm5Hg2Pt
1.0
7.211 0.000 0.000
0.000 12.577 0.000
0.000 0.000 4.998
Sm Hg Pt
10 4 2
Direct
0.000 0.000 0.000
0.140 0.290 0.000
0.177 0.584 0.500
0.323 0.084 0.500
0.360 0.790 0.000
0.500 0.500 0.000
0.640 0.210 0.000
0.677 0.916 0.500
0.823 0.416 0.500
0.860 0.710 0.000
0.088 0.837 0.500
0.412 0.337 0.500
0.588 0.663 0.500
0.912 0.163 0.500
0.000 0.500 0.000
0.500 0.000 0.000
```

Calculated powder diffraction line list
Compound: SmYHgPt
Radiation: Cu Ka
Structure: the PBE geometry in Alexandria

Largest 6 diffraction maxima, by intensity, 5° ≤ 2θ ≤ 70°:
d (Å)	2θ (°)	I (rel.)
2.575	34.84	100
1.487	62.47	37
1.821	50.10	18
3.642	24.44	7
1.629	56.50	3
2.103	43.02	2

Crystal structure
```
SmYHgPt
1.0
7.284 0.000 0.000
0.000 7.284 0.000
0.000 0.000 7.284
Sm Y Hg Pt
4 4 4 4
Direct
0.000 0.000 0.000
0.000 0.500 0.500
0.500 0.000 0.500
0.500 0.500 0.000
0.000 0.000 0.500
0.000 0.500 0.000
0.500 0.000 0.000
0.500 0.500 0.500
0.250 0.250 0.250
0.250 0.750 0.750
0.750 0.250 0.750
0.750 0.750 0.250
0.250 0.250 0.750
0.250 0.750 0.250
0.750 0.250 0.250
0.750 0.750 0.750
```

Calculated powder diffraction line list
Compound: SnHg2Pt2
Radiation: Cu Ka
Structure: the PBE geometry in Alexandria

Largest 6 diffraction maxima, by intensity, 5° ≤ 2θ ≤ 70°:
d (Å)	2θ (°)	I (rel.)
2.483	36.18	100
2.272	39.67	33
1.482	62.68	18
1.956	46.43	14
1.592	57.94	10
5.080	17.46	9

Crystal structure
```
SnHg2Pt2
1.0
7.184 0.000 0.000
0.000 7.184 0.000
0.000 0.000 3.912
Sn Hg Pt
2 4 4
Direct
0.000 0.000 0.000
0.500 0.500 0.000
0.156 0.344 0.500
0.344 0.844 0.500
0.656 0.156 0.500
0.844 0.656 0.500
0.145 0.645 0.000
0.355 0.145 0.000
0.645 0.855 0.000
0.855 0.355 0.000
```

Calculated powder diffraction line list
Compound: Tl2SnHgPt
Radiation: Cu Ka
Structure: the PBE geometry in Alexandria

Largest 6 diffraction maxima, by intensity, 5° ≤ 2θ ≤ 70°:
d (Å)	2θ (°)	I (rel.)
2.688	33.34	100
3.087	28.92	97
1.886	48.26	72
2.647	33.86	48
3.772	23.59	42
1.544	59.92	38

Crystal structure
```
Tl2SnHgPt
1.0
5.375 0.000 0.000
0.000 5.375 0.000
0.000 0.000 5.294
Tl Sn Hg Pt
2 1 1 1
Direct
0.000 0.500 0.000
0.500 0.000 0.000
0.000 0.000 0.500
0.500 0.500 0.500
0.000 0.000 0.000
```